Simulated powder diffraction line list of NiRuO3 for Cu Ka, from a cell relaxed with PBE+U.

Principal peaks in the range 2θ = 10–90°, in order of rising 2θ:
| index | 2θ (°) | I (rel.) |
| --- | --- | --- |
| 1 0 0 | 23.94 | 2.2 |
| 1 1 0 | 34.11 | 100.0 |
| 1 1 1 | 42.10 | 11.6 |
| 2 0 0 | 49.01 | 34.4 |
| 2 1 1 | 61.05 | 36.5 |
| 2 2 0 | 71.82 | 19.4 |
| 3 1 0 | 81.95 | 15.5 |
| 3 1 1 | 86.91 | 3.3 |

Atomic structure:
```
data_NiRuO3
_chemical_formula_sum 'Ni1 Ru1 O3'
_cell_length_a 3.718
_cell_length_b 3.718
_cell_length_c 3.718
_cell_angle_alpha 90.00
_cell_angle_beta 90.00
_cell_angle_gamma 90.00
_space_group_name_H-M_alt 'P 1'
_space_group_IT_number 1
loop_
_space_group_symop_operation_xyz
'x,y,z'
loop_
_atom_site_label
_atom_site_fract_x
_atom_site_fract_y
_atom_site_fract_z
_atom_site_occupancy
Ni1 0.000 0.000 0.000 1
Ru1 0.500 0.500 0.500 1
O1 0.000 0.000 0.500 1
O2 0.000 0.500 0.000 1
O3 0.500 0.000 0.000 1
```